Entry 1:
Computed X-ray powder pattern
Compound: Sc3Tl2Au
Radiation: Cu Kα (λ = 1.5418 Å)
Structure: a GGA-PBE-relaxed structure
Intensities are scaled so that the largest is 100.

Largest 10 diffraction maxima, by angle, 5° ≤ 2θ ≤ 70°:
d/Å	I_rel	h k l
3.848	29	0 0 3
3.398	43	1 0 0
2.547	100	1 0 3
2.403	44	1 1 0
2.038	22	1 1 3
1.699	15	2 0 0
1.674	12	1 0 6
1.554	10	2 0 3
1.502	18	1 1 6
1.413	32	2 1 3

Cell and atoms:
Lattice parameters (Å, degrees): 3.3977 3.3977 11.5439 90.00 90.00 90.00
Space group P4/mmm (No. 123)
Asymmetric unit:
Sc (0.0000, 0.0000, 0.0000) x1
Sc (0.0000, 0.0000, 0.3535) x2
Tl (0.5000, 0.5000, 0.1765) x2
Au (0.5000, 0.5000, 0.5000) x1



Entry 2:
Computed X-ray powder pattern
Compound: Sc2TlAu
Radiation: Cu Kα (λ = 1.5418 Å)
Structure: a GGA-PBE-relaxed structure
Intensities are scaled so that the largest is 100.

Largest 10 diffraction maxima, by angle, 5° ≤ 2θ ≤ 70°:
d/Å	I_rel	h k l
4.332	60	2 0 0
2.969	48	1 1 -1
2.953	24	0 0 2
2.763	51	2 0 -2
2.753	100	1 1 1
2.228	55	3 1 -1
2.209	26	2 0 2
2.166	25	4 0 0
1.756	26	1 1 -3
1.631	18	3 1 -3

Cell and atoms:
Lattice parameters (Å, degrees): 8.9167 3.5205 6.0780 90.00 103.67 90.00
Space group C2/m (No. 12)
Asymmetric unit:
Sc (0.2403, 0.0000, 0.2283) x4
Tl (0.0000, 0.0000, 0.5000) x2
Au (0.0000, 0.5000, 0.0000) x2



Entry 3:
Computed X-ray powder pattern
Compound: TmScTlAu
Radiation: Cu Kα (λ = 1.5418 Å)
Structure: a GGA-PBE-relaxed structure
Intensities are scaled so that the largest is 100.

Largest 10 diffraction maxima, by angle, 5° ≤ 2θ ≤ 70°:
d/Å	I_rel	h k l
7.441	7	0 0 1
3.721	6	0 0 2
3.512	11	1 0 0
3.176	12	1 0 1
2.554	100	1 0 2
2.483	51	1 1 0
1.860	9	0 0 4
1.756	22	2 0 0
1.489	17	1 1 4
1.447	35	2 1 2

Cell and atoms:
Lattice parameters (Å, degrees): 3.5117 3.5117 7.4412 90.00 90.00 90.00
Space group P4mm (No. 99)
Asymmetric unit:
Tm (0.0000, 0.0000, 0.0000) x1
Sc (0.0000, 0.0000, 0.5422) x1
Tl (0.5000, 0.5000, 0.2839) x1
Au (0.5000, 0.5000, 0.7575) x1



Entry 4:
Computed X-ray powder pattern
Compound: ScUAu2
Radiation: Cu Kα (λ = 1.5418 Å)
Structure: a GGA-PBE-relaxed structure
Intensities are scaled so that the largest is 100.

Largest 10 diffraction maxima, by angle, 5° ≤ 2θ ≤ 70°:
d/Å	I_rel	h k l
7.747	10	0 0 1
3.032	26	1 0 1
2.582	10	0 0 3
2.510	100	1 0 2
2.330	44	1 1 0
1.730	12	1 1 3
1.648	15	2 0 0
1.489	16	1 1 4
1.402	10	1 0 5
1.377	32	2 1 2

Cell and atoms:
Lattice parameters (Å, degrees): 3.2952 3.2952 7.7472 90.00 90.00 90.00
Space group P4/mmm (No. 123)
Asymmetric unit:
Sc (0.0000, 0.0000, 0.0000) x1
U (0.0000, 0.0000, 0.5000) x1
Au (0.5000, 0.5000, 0.2210) x2